Theoretical powder diffraction line list of Ac4PdPt for Cu Kα (weighted mean of Kα1 and Kα2), from a structure optimized by DFT (GGA-PBE).
Intensities are scaled so that the largest is 100.

Largest 10 diffraction maxima, by angle, 5° ≤ 2θ ≤ 70°:
two_theta	d/Å	intensity
17.20	5.156	33
26.35	3.383	100
27.35	3.261	36
34.00	2.637	45
34.80	2.578	30
40.24	2.241	18
42.30	2.137	47
44.17	2.051	19
54.23	1.691	17
67.49	1.388	25

Structural model:
```
Ac4PdPt
1.0
-5.156 5.156 4.482
5.156 -5.156 4.482
5.156 5.156 -4.482
Ac Pd Pt
8 2 2
Direct
0.195 0.497 0.699
0.247 0.048 0.801
0.247 0.445 0.199
0.300 0.000 0.300
0.700 0.000 0.700
0.750 0.550 0.800
0.750 0.950 0.200
0.798 0.497 0.301
0.248 0.748 0.500
0.498 0.498 0.000
0.748 0.248 0.500
0.998 0.998 0.000
```